For GdErP2C4, DFT lattice parameters and positions (PBE) gives the theoretical X-ray diffraction stick pattern in this record (a wavelength of 1.5418 Å).
Neutral-atom scattering factors, no anomalous dispersion.

Structure:
```
8
Lattice="3.776 0.000 0.000 -1.888 3.270 0.000 0.000 0.000 8.510" Properties=species:S:1:pos:R:3 pbc="T T T"
Gd 0.000 0.000 0.000
Er 0.000 0.000 4.255
P 0.000 2.180 6.375
P 1.888 1.090 2.135
C 0.000 2.180 1.437
C 0.000 2.180 2.895
C 1.888 1.090 5.614
C 1.888 1.090 7.073
```

Largest 10 diffraction maxima, by intensity, 10 to 90 degrees two-theta:
d 2.593, I 1000, hkl 1 0 2
d 3.270, I 499, hkl 1 0 0
d 1.888, I 261, hkl 1 1 0
d 4.255, I 240, hkl 0 0 2
d 1.783, I 229, hkl 1 0 4
d 1.526, I 194, hkl 2 0 2
d 1.187, I 171, hkl 2 1 2
d 1.412, I 153, hkl 1 1 4
d 1.726, I 138, hkl 1 1 2
d 1.301, I 100, hkl 0 1 6